For K2Li2USe4, a cell relaxed with PBE gives the calculated X-ray diffraction stick pattern in this record (copper Kα).
Neutral-atom scattering factors, no anomalous dispersion.

Crystal structure
```
data_K2Li2USe4
_symmetry_space_group_name_H-M 'C 1 2/m 1'
_symmetry_Int_Tables_number 12
_symmetry_space_group_name_Hall '-C 2y'
_cell_length_a 15.4397
_cell_length_b 4.2521
_cell_length_c 7.8175
_cell_angle_alpha 90.00
_cell_angle_beta 110.28
_cell_angle_gamma 90.00
loop_
_atom_site_label
_atom_site_type_symbol
_atom_site_fract_x
_atom_site_fract_y
_atom_site_fract_z
K1 K 0.1378 0.0000 0.0632
Li1 Li 0.1818 0.5000 0.4883
U1 U 0.0000 0.0000 0.5000
Se1 Se 0.0161 0.5000 0.2658
Se2 Se 0.1955 0.0000 0.6743
```

The 6 most intense peaks (10° ≤ 2θ ≤ 80°), sorted by position:
d [Å]  I/Imax  index
7.333  622  0 0 1
7.241  553  2 0 0
6.374  340  2 0 -1
3.723  410  1 1 -1
2.871  1000  1 1 -2
2.737  299  3 1 -2